Diffraction record for Li3Fe4P6O24. The X-ray diffraction stick pattern is computed, not measured: it uses DFT lattice parameters and positions (GGA+U) and CuKα.

The 8 most intense peaks (10 to 90 degrees two-theta), sorted by position:
- 14.0 deg, intensity 32
- 15.7 deg, intensity 17
- 16.2 deg, intensity 100
- 28.2 deg, intensity 19
- 28.9 deg, intensity 22
- 29.1 deg, intensity 27
- 32.3 deg, intensity 17
- 32.7 deg, intensity 18

Structural model:
a = 6.4198 Å, b = 8.5997 Å, c = 8.8321 Å
α = 93.29°, β = 106.60°, γ = 105.52°
Positions (direct):
Li: 0.0000 0.0000 0.0000
Li: 0.2588 0.7880 0.2076
Li: 0.7412 0.2120 0.7924
Fe: 0.1294 0.8637 0.5607
Fe: 0.3714 0.4394 0.1271
Fe: 0.6286 0.5606 0.8729
Fe: 0.8706 0.1363 0.4393
P: 0.1289 0.6387 0.8461
P: 0.2462 0.2103 0.7853
P: 0.3545 0.1523 0.3547
P: 0.6455 0.8477 0.6453
P: 0.7538 0.7897 0.2147
P: 0.8711 0.3613 0.1539
O: 0.0273 0.2347 0.6698
O: 0.0958 0.4884 0.1561
O: 0.1159 0.6775 0.6765
O: 0.1650 0.7880 0.9646
O: 0.1813 0.1083 0.4520
O: 0.2316 0.2372 0.9579
O: 0.2560 0.0338 0.7531
O: 0.2626 0.0232 0.2074
O: 0.3238 0.5568 0.9070
O: 0.3861 0.3264 0.3119
O: 0.4146 0.8504 0.5281
O: 0.4683 0.3275 0.7706
O: 0.5317 0.6725 0.2294
O: 0.5854 0.1496 0.4719
O: 0.6139 0.6736 0.6881
O: 0.6762 0.4432 0.0930
O: 0.7374 0.9768 0.7926
O: 0.7440 0.9662 0.2469
O: 0.7684 0.7628 0.0421
O: 0.8187 0.8917 0.5480
O: 0.8350 0.2120 0.0354
O: 0.8841 0.3225 0.3235
O: 0.9042 0.5117 0.8439
O: 0.9727 0.7653 0.3302



Diffraction record for AlV2O4. The X-ray diffraction stick pattern is computed, not measured: it uses DFT lattice parameters and positions (GGA+U) and CuKα.

The 8 most intense peaks (10 to 90 degrees two-theta), sorted by position:
- 18.4 deg, intensity 55
- 35.3 deg, intensity 71
- 35.4 deg, intensity 94
- 35.7 deg, intensity 69
- 43.0 deg, intensity 51
- 43.2 deg, intensity 100
- 62.1 deg, intensity 28
- 62.3 deg, intensity 27

Structural model:
a = 5.9114 Å, b = 5.9485 Å, c = 10.2096 Å
α = 106.29°, β = 90.61°, γ = 119.45°
Positions (direct):
Al: 0.0596 0.1215 0.1859
Al: 0.4367 0.8824 0.3145
Al: 0.5633 0.1176 0.6855
Al: 0.9404 0.8785 0.8141
V: 0.0000 0.0000 0.5000
V: 0.0000 0.5000 0.0000
V: 0.0000 0.5000 0.5000
V: 0.2518 0.4987 0.7507
V: 0.5000 0.0000 0.0000
V: 0.5000 0.5000 0.0000
V: 0.5000 0.5000 0.5000
V: 0.7482 0.5013 0.2493
O: 0.1267 0.2449 0.3719
O: 0.1290 0.7625 0.3761
O: 0.1299 0.2457 0.8772
O: 0.1326 0.7583 0.8759
O: 0.3681 0.2495 0.1214
O: 0.3746 0.2428 0.6181
O: 0.3828 0.7596 0.1273
O: 0.3860 0.7519 0.6235
O: 0.6140 0.2481 0.3765
O: 0.6172 0.2404 0.8727
O: 0.6254 0.7572 0.3819
O: 0.6319 0.7505 0.8786
O: 0.8674 0.2417 0.1241
O: 0.8701 0.7543 0.1228
O: 0.8710 0.2375 0.6239
O: 0.8733 0.7551 0.6281



Diffraction record for MnFe2P2O18. The X-ray diffraction stick pattern is computed, not measured: it uses DFT lattice parameters and positions (GGA+U) and CuKα.

The 8 most intense peaks (10 to 90 degrees two-theta), sorted by position:
- 13.5 deg, intensity 100
- 14.9 deg, intensity 48
- 18.1 deg, intensity 86
- 22.2 deg, intensity 38
- 22.4 deg, intensity 36
- 27.3 deg, intensity 59
- 28.0 deg, intensity 76
- 29.2 deg, intensity 82

Structural model:
a = 5.4122 Å, b = 7.0762 Å, c = 9.9614 Å
α = 96.42°, β = 101.37°, γ = 109.57°
Positions (direct):
Mn: 0.0000 0.0000 0.0000
Fe: 0.5000 0.0000 0.5000
Fe: 0.5000 0.5000 0.5000
P: 0.0053 0.0877 0.3234
P: 0.9947 0.9123 0.6766
O: 0.0875 0.9160 0.8381
O: 0.1499 0.3174 0.3965
O: 0.1502 0.4585 0.7416
O: 0.2037 0.9719 0.3385
O: 0.2491 0.0127 0.6290
O: 0.3062 0.2614 0.0332
O: 0.3657 0.4585 0.7191
O: 0.3818 0.7092 0.4830
O: 0.3864 0.1278 0.0930
O: 0.6136 0.8722 0.9070
O: 0.6182 0.2908 0.5170
O: 0.6343 0.5415 0.2809
O: 0.6938 0.7386 0.9668
O: 0.7509 0.9873 0.3710
O: 0.7963 0.0281 0.6615
O: 0.8498 0.5415 0.2584
O: 0.8501 0.6826 0.6035
O: 0.9125 0.0840 0.1619



Diffraction record for CaNiMoP2O9. The X-ray diffraction stick pattern is computed, not measured: it uses DFT lattice parameters and positions (GGA+U) and CuKα.

The 8 most intense peaks (10 to 90 degrees two-theta), sorted by position:
- 16.9 deg, intensity 61
- 24.1 deg, intensity 100
- 27.0 deg, intensity 38
- 27.3 deg, intensity 24
- 30.1 deg, intensity 46
- 30.5 deg, intensity 30
- 33.1 deg, intensity 33
- 55.6 deg, intensity 57

Structural model:
a = 14.4596 Å, b = 6.6134 Å, c = 7.6371 Å
α = 90.00°, β = 90.00°, γ = 90.00°
Positions (direct):
Ca: 0.2186 0.2500 0.1123
Ca: 0.2814 0.7500 0.6123
Ca: 0.7186 0.2500 0.3877
Ca: 0.7814 0.7500 0.8877
Ni: 0.0000 0.0000 0.0000
Ni: 0.0000 0.5000 0.0000
Ni: 0.5000 0.0000 0.5000
Ni: 0.5000 0.5000 0.5000
Mo: 0.1171 0.2500 0.6505
Mo: 0.3829 0.7500 0.1505
Mo: 0.6171 0.2500 0.8495
Mo: 0.8829 0.7500 0.3495
P: 0.0647 0.7500 0.6549
P: 0.1896 0.7500 0.1128
P: 0.3104 0.2500 0.6128
P: 0.4353 0.2500 0.1549
P: 0.5647 0.7500 0.8451
P: 0.6896 0.7500 0.3872
P: 0.8104 0.2500 0.8872
P: 0.9353 0.2500 0.3451
O: 0.0105 0.2500 0.4864
O: 0.0168 0.7500 0.8340
O: 0.0571 0.2500 0.8698
O: 0.1323 0.5540 0.1071
O: 0.1316 0.5682 0.6337
O: 0.1316 0.9318 0.6337
O: 0.1323 0.9460 0.1071
O: 0.2335 0.2500 0.4656
O: 0.2475 0.2500 0.7830
O: 0.2525 0.7500 0.2830
O: 0.2665 0.7500 0.9656
O: 0.3677 0.0540 0.6071
O: 0.3684 0.0682 0.1337
O: 0.3684 0.4318 0.1337
O: 0.3677 0.4460 0.6071
O: 0.4429 0.7500 0.3698
O: 0.4832 0.2500 0.3340
O: 0.4895 0.7500 0.9864
O: 0.5105 0.2500 0.0136
O: 0.5168 0.7500 0.6660
O: 0.5571 0.2500 0.6302
O: 0.6323 0.5540 0.3929
O: 0.6316 0.5682 0.8663
O: 0.6316 0.9318 0.8663
O: 0.6323 0.9460 0.3929
O: 0.7335 0.2500 0.0344
O: 0.7475 0.2500 0.7170
O: 0.7525 0.7500 0.2170
O: 0.7665 0.7500 0.5344
O: 0.8677 0.0540 0.8929
O: 0.8684 0.0682 0.3663
O: 0.8684 0.4318 0.3663
O: 0.8677 0.4460 0.8929
O: 0.9429 0.7500 0.1302
O: 0.9832 0.2500 0.1660
O: 0.9895 0.7500 0.5136



Diffraction record for Li3Fe5OF11. The X-ray diffraction stick pattern is computed, not measured: it uses DFT lattice parameters and positions (GGA+U) and CuKα.

The 8 most intense peaks (10 to 90 degrees two-theta), sorted by position:
- 18.4 deg, intensity 70
- 20.2 deg, intensity 46
- 31.4 deg, intensity 71
- 33.8 deg, intensity 42
- 38.5 deg, intensity 48
- 38.8 deg, intensity 100
- 50.9 deg, intensity 44
- 51.4 deg, intensity 37

Structural model:
a = 5.3041 Å, b = 5.6762 Å, c = 9.2246 Å
α = 74.33°, β = 89.82°, γ = 62.81°
Positions (direct):
Li: 0.0000 0.0000 0.0000
Li: 0.0463 0.8775 0.3484
Li: 0.4794 0.0186 0.4793
Fe: 0.2548 0.5160 0.7521
Fe: 0.3043 0.4190 0.0903
Fe: 0.5293 0.8840 0.8498
Fe: 0.7504 0.4877 0.2513
Fe: 0.7917 0.4059 0.5924
O: 0.2955 0.6952 0.8997
F: 0.1971 0.2289 0.2891
F: 0.2396 0.1976 0.9511
F: 0.2489 0.2137 0.6386
F: 0.3168 0.6931 0.2158
F: 0.3418 0.7076 0.5432
F: 0.6967 0.1830 0.7918
F: 0.7459 0.1953 0.4570
F: 0.7604 0.1847 0.1509
F: 0.7958 0.7051 0.3936
F: 0.8013 0.6877 0.6969
F: 0.8345 0.7068 0.0503



Diffraction record for Mn2InSbO6. The X-ray diffraction stick pattern is computed, not measured: it uses DFT lattice parameters and positions (GGA+U) and CuKα.

The 8 most intense peaks (10 to 90 degrees two-theta), sorted by position:
- 19.9 deg, intensity 59
- 24.6 deg, intensity 60
- 28.0 deg, intensity 91
- 31.1 deg, intensity 100
- 31.6 deg, intensity 66
- 34.3 deg, intensity 55
- 34.4 deg, intensity 83
- 45.2 deg, intensity 56

Structural model:
a = 6.3599 Å, b = 6.3823 Å, c = 6.3878 Å
α = 90.95°, β = 90.96°, γ = 90.75°
Positions (direct):
Mn: 0.0000 0.0000 0.0000
Mn: 0.1233 0.1042 0.4966
Mn: 0.5049 0.2971 0.1864
Mn: 0.8152 0.4807 0.6947
In: 0.3087 0.6147 0.8052
In: 0.6226 0.7997 0.3136
Sb: 0.0605 0.5468 0.2488
Sb: 0.5635 0.0525 0.7495
O: 0.1356 0.4722 0.5477
O: 0.1396 0.2524 0.1796
O: 0.2640 0.9572 0.7931
O: 0.3627 0.6246 0.1678
O: 0.4753 0.0868 0.4470
O: 0.5173 0.3523 0.8411
O: 0.6039 0.7460 0.6597
O: 0.6522 0.0061 0.0495
O: 0.7592 0.4812 0.3244
O: 0.8615 0.1383 0.7060
O: 0.9799 0.8461 0.3206
O: 0.9947 0.6242 0.9486



Diffraction record for MgCrFeBi2O6. The X-ray diffraction stick pattern is computed, not measured: it uses DFT lattice parameters and positions (GGA+U) and CuKα.

The 8 most intense peaks (10 to 90 degrees two-theta), sorted by position:
- 20.3 deg, intensity 81
- 21.2 deg, intensity 73
- 21.4 deg, intensity 74
- 27.5 deg, intensity 49
- 29.0 deg, intensity 55
- 31.5 deg, intensity 75
- 31.7 deg, intensity 81
- 32.2 deg, intensity 100

Structural model:
a = 5.5801 Å, b = 5.6735 Å, c = 6.3337 Å
α = 69.04°, β = 67.46°, γ = 60.73°
Positions (direct):
Mg: 0.0000 0.0000 0.0000
Cr: 0.1579 0.1614 0.4703
Fe: 0.6319 0.6280 0.1518
Bi: 0.3404 0.3616 0.9397
Bi: 0.7994 0.7894 0.5652
O: 0.2659 0.6178 0.1766
O: 0.3587 0.0177 0.7302
O: 0.5429 0.9877 0.2357
O: 0.8109 0.3693 0.7182
O: 0.9333 0.7583 0.8651
O: 0.9614 0.2491 0.2054



Diffraction record for Fe3OF5. The X-ray diffraction stick pattern is computed, not measured: it uses DFT lattice parameters and positions (GGA+U) and CuKα.

The 8 most intense peaks (10 to 90 degrees two-theta), sorted by position:
- 26.0 deg, intensity 85
- 26.2 deg, intensity 86
- 33.7 deg, intensity 100
- 38.6 deg, intensity 19
- 51.0 deg, intensity 60
- 51.3 deg, intensity 52
- 53.4 deg, intensity 20
- 64.9 deg, intensity 37

Structural model:
a = 10.7607 Å, b = 10.7607 Å, c = 3.1805 Å
α = 90.00°, β = 90.00°, γ = 142.80°
Positions (direct):
Fe: 0.0000 0.0000 0.0000
Fe: 0.1545 0.8455 0.5000
Fe: 0.3303 0.6697 0.0000
Fe: 0.5000 0.5000 0.5000
Fe: 0.6697 0.3303 0.0000
Fe: 0.8455 0.1545 0.5000
O: 0.1024 0.8976 0.0000
O: 0.8976 0.1024 0.0000
F: 0.1220 0.4629 0.5000
F: 0.2050 0.2050 0.5000
F: 0.2293 0.7707 0.0000
F: 0.4302 0.5698 0.0000
F: 0.4629 0.1220 0.5000
F: 0.5371 0.8780 0.5000
F: 0.5698 0.4302 0.0000
F: 0.7707 0.2293 0.0000
F: 0.7950 0.7950 0.5000
F: 0.8780 0.5371 0.5000



Diffraction record for CrP2H13N2O10. The X-ray diffraction stick pattern is computed, not measured: it uses DFT lattice parameters and positions (GGA+U) and CuKα.

The 8 most intense peaks (10 to 90 degrees two-theta), sorted by position:
- 11.3 deg, intensity 42
- 12.2 deg, intensity 72
- 14.3 deg, intensity 93
- 17.4 deg, intensity 62
- 18.1 deg, intensity 52
- 19.7 deg, intensity 100
- 26.2 deg, intensity 31
- 27.1 deg, intensity 33

Structural model:
a = 7.1664 Å, b = 8.5049 Å, c = 9.7064 Å
α = 107.03°, β = 99.05°, γ = 102.55°
Positions (direct):
Cr: 0.2379 0.3030 0.2109
Cr: 0.7621 0.6970 0.7891
P: 0.2181 0.9523 0.2737
P: 0.3943 0.8262 0.7023
P: 0.6057 0.1738 0.2977
P: 0.7819 0.0477 0.7263
H: 0.0125 0.3380 0.4027
H: 0.0473 0.7094 0.0038
H: 0.1120 0.3037 0.7345
H: 0.1420 0.7482 0.8710
H: 0.1724 0.5292 0.4376
H: 0.2166 0.0818 0.9479
H: 0.2200 0.2048 0.6243
H: 0.2237 0.9141 0.4942
H: 0.2393 0.3821 0.4961
H: 0.2809 0.6257 0.2034
H: 0.2965 0.2742 0.9387
H: 0.4468 0.1901 0.0268
H: 0.4981 0.4061 0.7672
H: 0.5019 0.5939 0.2328
H: 0.5532 0.8099 0.9732
H: 0.7035 0.7258 0.0613
H: 0.7191 0.3743 0.7966
H: 0.7607 0.6179 0.5039
H: 0.7763 0.0859 0.5058
H: 0.7800 0.7952 0.3757
H: 0.7834 0.9182 0.0521
H: 0.8276 0.4708 0.5624
H: 0.8580 0.2518 0.1290
H: 0.8880 0.6963 0.2655
H: 0.9527 0.2906 0.9962
H: 0.9875 0.6620 0.5973
N: 0.1555 0.3997 0.4091
N: 0.3063 0.2023 0.0068
N: 0.6937 0.7977 0.9932
N: 0.8445 0.6003 0.5909
O: 0.0193 0.6821 0.8942
O: 0.1252 0.0626 0.2006
O: 0.1260 0.7610 0.1940
O: 0.2081 0.0067 0.4409
O: 0.2334 0.7937 0.5655
O: 0.2396 0.3111 0.7063
O: 0.3258 0.8468 0.8449
O: 0.3578 0.5419 0.2078
O: 0.4479 0.9873 0.2701
O: 0.4896 0.3077 0.3302
O: 0.5104 0.6923 0.6698
O: 0.5521 0.0127 0.7299
O: 0.6422 0.4581 0.7922
O: 0.6742 0.1532 0.1551
O: 0.7604 0.6889 0.2937
O: 0.7666 0.2063 0.4345
O: 0.7919 0.9933 0.5591
O: 0.8740 0.2390 0.8060
O: 0.8748 0.9374 0.7994
O: 0.9807 0.3179 0.1058



- Number 1 is which compound?
  Li3Fe4P6O24